(1)
Theoretical PXRD pattern
Compound: Tb4InRu2Au
Radiation: copper Kα
Structure: a PBE-relaxed structure
Intensities are scaled so that the largest is 100.

Principal peaks in the range 15 to 90 degrees two-theta, in order of falling intensity:
d/Å	Position (°2θ)	Rel. int.
2.513	35.7	100
1.452	64.1	27
1.777	51.4	18
1.449	64.3	8
1.125	86.5	8
1.123	86.7	8
1.258	75.6	6
1.255	75.8	5

Structure:
```
Tb4InRu2Au
1.0
2.516 1.453 8.192
-2.516 1.453 8.192
0.000 -2.905 8.192
Tb In Ru Au
4 1 2 1
direct
0.122 0.122 0.122
0.372 0.372 0.372
0.628 0.628 0.628
0.878 0.878 0.878
0.500 0.500 0.500
0.247 0.247 0.247
0.753 0.753 0.753
0.000 0.000 0.000
```

(2)
Theoretical PXRD pattern
Compound: In2AuS
Radiation: copper Kα
Structure: a PBE-relaxed structure
Intensities are scaled so that the largest is 100.

Principal peaks in the range 15 to 90 degrees two-theta, in order of falling intensity:
d/Å	Position (°2θ)	Rel. int.
2.640	34.0	100
3.144	28.4	82
2.283	39.5	66
1.892	48.1	46
1.325	71.2	28
1.538	60.2	19
1.842	49.5	17
1.193	80.5	17

Structure:
```
In2AuS
1.0
1.892 1.092 7.423
-1.892 1.092 7.423
0.000 -2.185 7.423
In Au S
2 1 1
direct
0.000 0.000 0.000
0.165 0.165 0.165
0.584 0.584 0.584
0.413 0.413 0.413
```

(3)
Theoretical PXRD pattern
Compound: InTeAuS
Radiation: copper Kα
Structure: a PBE-relaxed structure
Intensities are scaled so that the largest is 100.

Principal peaks in the range 15 to 90 degrees two-theta, in order of falling intensity:
d/Å	Position (°2θ)	Rel. int.
3.299	27.0	100
2.092	43.3	93
3.656	24.3	85
2.111	42.8	69
3.825	23.3	49
2.643	33.9	47
1.848	49.3	38
1.215	78.8	32

Structure:
```
InTeAuS
1.0
3.656 -2.111 0.000
3.656 2.111 0.000
-0.008 0.000 7.651
In Te Au S
1 1 1 1
direct
0.000 0.000 0.000
0.334 0.334 0.513
0.001 0.001 0.646
0.667 0.667 0.134
```

(4)
Theoretical PXRD pattern
Compound: InSb2Au3
Radiation: copper Kα
Structure: a PBE-relaxed structure
Intensities are scaled so that the largest is 100.

Principal peaks in the range 15 to 90 degrees two-theta, in order of falling intensity:
d/Å	Position (°2θ)	Rel. int.
2.830	31.6	100
2.051	44.2	74
2.976	30.0	53
1.661	55.3	38
2.001	45.3	37
1.165	82.9	24
3.321	26.8	18
1.266	75.1	17

Structure:
```
InSb2Au3
1.0
-2.001 2.001 8.929
2.001 -2.001 8.929
2.001 2.001 -8.929
In Sb Au
1 2 3
direct
0.000 0.000 0.000
0.344 0.344 0.000
0.656 0.656 0.000
0.175 0.175 0.000
0.500 0.500 0.000
0.825 0.825 0.000
```